No. 1
TiCrCd2O6: computed X-ray powder pattern (Cu Kα), based on a DFT-relaxed cell (PBE+U, Alexandria).

Structural model:
Lattice parameters (Å, degrees): 5.5356 5.5356 3.8696 90.00 90.00 90.00
Space group P4mm (No. 99)
One atom of each set of equivalent atoms:
Ti1 0.0000 0.0000 0.0000 (multiplicity 1)
Cr1 0.5000 0.5000 0.0103 (multiplicity 1)
Cd1 0.0000 0.5000 0.4150 (multiplicity 2)
O1 0.0000 0.0000 0.5344 (multiplicity 1)
O2 0.2513 0.2513 0.0535 (multiplicity 4)
O3 0.5000 0.5000 0.5381 (multiplicity 1)

Most intense lines, 15 to 90 degrees two-theta, in order of rising 2θ:
hkl, 2θ (°), Rel. int.
0 0 1, 23.0, 16
2 0 0, 32.3, 53
1 1 1, 32.5, 100
2 0 1, 40.1, 29
2 2 0, 46.4, 37
1 1 2, 52.8, 14
3 1 1, 57.8, 36
2 0 2, 58.2, 17


No. 2
V2CrCd2O6: computed X-ray powder pattern (Cu Kα), based on a DFT-relaxed cell (PBE+U, Alexandria).

Structural model:
Lattice parameters (Å, degrees): 5.2288 8.9076 6.4662 90.00 95.46 90.00
Space group C2/m (No. 12)
One atom of each set of equivalent atoms:
V1 0.0000 0.1590 0.0000 (multiplicity 4)
Cr1 0.0000 0.5000 0.0000 (multiplicity 2)
Cd1 0.0000 0.3399 0.5000 (multiplicity 4)
O1 0.1855 0.3299 0.1600 (multiplicity 8)
O2 0.1914 0.0000 0.1655 (multiplicity 4)

Most intense lines, 15 to 90 degrees two-theta, in order of rising 2θ:
hkl, 2θ (°), Rel. int.
1 1 0, 19.8, 43
1 1 -1, 23.2, 30
0 0 2, 27.7, 71
2 0 0, 34.4, 39
1 3 -1, 36.9, 46
1 3 1, 38.2, 100
2 0 -2, 42.5, 42
0 6 0, 62.5, 34